# RbCo2TcCl8
Simulated powder X-ray diffraction pattern, λ = 1.5418 Å (Cu Kα). Input: a crystal structure in Alexandria, relaxed with PBE.

Main lines, low angle first (2θ from 10° to 80°):
d 4.396, intensity 100.0; d 3.505, intensity 15.5; d 3.162, intensity 17.2; d 3.056, intensity 43.5; d 2.935, intensity 12.7; d 2.642, intensity 13.6; d 2.509, intensity 21.5; d 1.993, intensity 27.7; d 1.939, intensity 19.3; d 1.765, intensity 23.2

Structure:
```
12
Lattice="3.0564 1.7646 10.5157 -3.0564 1.7646 10.5157 0.0000 -3.5293 10.5157" Properties=species:S:1:pos:R:3 pbc="T T T"
Rb 0.0000 0.0000 0.0000
Co 0.0000 0.0000 7.5198
Co 0.0000 0.0000 24.0274
Tc 0.0000 0.0000 15.7736
Cl -0.9075 -1.6243 14.1775
Cl -0.9529 -1.5980 17.3697
Cl 0.0000 0.0000 9.7251
Cl -0.9529 1.5980 14.1775
Cl -0.9075 1.6242 17.3697
Cl 0.0000 0.0000 21.8221
Cl 1.8604 0.0262 14.1775
Cl 1.8604 -0.0262 17.3697
```



# Rb3Tl2Br8
Simulated powder X-ray diffraction pattern, λ = 1.5418 Å (Cu Kα). Input: a crystal structure in Alexandria, relaxed with PBE.

Main lines, low angle first (2θ from 10° to 80°):
d 6.824, intensity 30.4; d 5.086, intensity 33.3; d 4.518, intensity 30.4; d 4.050, intensity 100.0; d 3.412, intensity 29.0; d 3.016, intensity 61.3; d 2.722, intensity 45.2; d 2.419, intensity 31.3; d 2.132, intensity 33.7; d 2.025, intensity 49.8

Structure:
```
13
Lattice="4.0497 2.3381 9.8454 -4.0497 2.3381 9.8454 0.0000 -4.6762 9.8454" Properties=species:S:1:pos:R:3 pbc="T T T"
Rb 0.0000 0.0000 0.0000
Rb 0.0000 0.0000 6.0499
Rb 0.0000 0.0000 23.4862
Tl 0.0000 0.0000 12.1191
Tl 0.0000 0.0000 17.4170
Br -2.2595 -1.3045 16.6322
Br 0.0000 -2.6091 12.9040
Br -2.2595 1.3045 12.9040
Br 0.0000 0.0000 9.4027
Br 0.0000 0.0000 20.1335
Br 2.2595 -1.3045 16.6322
Br 0.0000 2.6091 16.6322
Br 2.2595 1.3045 12.9040
```



# Ca5Cd2Pt2
Simulated powder X-ray diffraction pattern, λ = 1.5418 Å (Cu Kα). Input: a crystal structure in Alexandria, relaxed with PBE.

Main lines, low angle first (2θ from 10° to 80°):
d 8.259, intensity 100.0; d 4.130, intensity 70.1; d 3.897, intensity 99.1; d 3.206, intensity 62.5; d 2.950, intensity 89.0; d 2.660, intensity 85.9; d 2.445, intensity 50.7; d 2.431, intensity 49.1; d 2.400, intensity 57.0; d 2.169, intensity 56.9

Structure:
```
18
Lattice="8.2592 -3.8834 0.0000 8.2592 3.8834 0.0000 0.0000 0.0000 7.8240" Properties=species:S:1:pos:R:3 pbc="T T T"
Ca 0.0000 0.0000 0.0000
Ca 6.2848 2.5540 5.2526
Ca 6.2848 1.3294 1.3406
Ca 10.2336 2.5540 5.2526
Ca 10.2336 1.3294 1.3406
Ca 8.2592 0.0000 3.9120
Ca 6.2848 -1.3294 6.4834
Ca 6.2848 -2.5540 2.5714
Ca 10.2336 -1.3294 6.4834
Ca 10.2336 -2.5540 2.5714
Cd 3.5986 0.0000 0.0000
Cd 4.6606 0.0000 3.9120
Cd 11.8578 0.0000 3.9120
Cd 12.9199 0.0000 0.0000
Pt 8.2592 2.8965 2.9134
Pt 8.2592 0.9869 6.8254
Pt 8.2592 -0.9869 0.9986
Pt 8.2592 -2.8965 4.9106
```



# Y4GaRh3
Simulated powder X-ray diffraction pattern, λ = 1.5418 Å (Cu Kα). Input: a crystal structure in Alexandria, relaxed with PBE.

Main lines, low angle first (2θ from 10° to 80°):
d 2.765, intensity 100.0; d 2.658, intensity 23.5; d 2.585, intensity 23.5; d 2.273, intensity 31.6; d 2.227, intensity 73.1; d 2.195, intensity 33.1; d 1.890, intensity 20.8; d 1.453, intensity 14.8; d 1.432, intensity 16.3; d 1.409, intensity 12.8

Structure:
```
8
Lattice="3.7791 0.0000 0.0000 0.0000 4.3895 0.0000 0.0000 0.0000 10.6302" Properties=species:S:1:pos:R:3 pbc="T T T"
Y 0.0000 0.0000 0.0000
Y 0.0000 2.1947 2.8725
Y 1.8895 0.0000 5.1125
Y 1.8895 2.1947 8.2622
Ga 0.0000 0.0000 7.4514
Rh 0.0000 2.1947 5.9786
Rh 1.8895 0.0000 2.3189
Rh 1.8895 2.1947 0.4675
```



# ZrAgPd2
Simulated powder X-ray diffraction pattern, λ = 1.5418 Å (Cu Kα). Input: a crystal structure in Alexandria, relaxed with PBE.

Main lines, low angle first (2θ from 10° to 80°):
d 2.508, intensity 16.6; d 2.490, intensity 16.8; d 2.382, intensity 38.0; d 2.220, intensity 100.0; d 2.207, intensity 36.8; d 1.727, intensity 10.4; d 1.721, intensity 10.7; d 1.441, intensity 14.1; d 1.342, intensity 18.9; d 1.233, intensity 16.6

Structure:
```
8
Lattice="4.7644 0.0000 0.0000 0.0000 5.8076 0.0000 0.0000 0.0000 4.9797" Properties=species:S:1:pos:R:3 pbc="T T T"
Zr 1.1911 1.4519 0.8636
Zr 3.5733 4.3557 4.1161
Ag 1.1911 4.3557 0.9244
Ag 3.5733 1.4519 4.0553
Pd 1.1911 5.8056 3.3725
Pd 1.1911 2.9059 3.3725
Pd 3.5733 0.0021 1.6072
Pd 3.5733 2.9018 1.6072
```



# InGePt4
Simulated powder X-ray diffraction pattern, λ = 1.5418 Å (Cu Kα). Input: a crystal structure in Alexandria, relaxed with PBE.

Main lines, low angle first (2θ from 10° to 80°):
d 2.547, intensity 100.0; d 2.511, intensity 66.7; d 2.303, intensity 25.9; d 2.277, intensity 48.5; d 2.234, intensity 20.4; d 2.023, intensity 15.4; d 1.970, intensity 30.0; d 1.874, intensity 35.4; d 1.358, intensity 15.0; d 1.269, intensity 14.3

Structure:
```
24
Lattice="6.7653 0.0000 0.0000 0.0000 3.7477 0.0000 0.0000 0.0000 16.1857" Properties=species:S:1:pos:R:3 pbc="T T T"
In 1.5973 0.9369 3.2593
In 1.7853 2.8108 11.3522
In 4.9800 0.9369 4.8335
In 5.1680 2.8108 12.9264
Ge 1.5978 2.8108 7.3036
Ge 1.7849 0.9369 15.3965
Ge 4.9804 2.8108 0.7892
Ge 5.1675 0.9369 8.8821
Pt 0.0774 0.9369 1.0586
Pt 0.5934 0.9369 13.0597
Pt 0.7240 0.9369 5.8499
Pt 0.9965 0.9369 9.0693
Pt 2.3862 2.8108 0.9764
Pt 2.6586 2.8108 13.9428
Pt 2.7892 2.8108 4.9668
Pt 3.3052 2.8108 9.1515
Pt 3.4601 0.9369 7.0343
Pt 3.9761 0.9369 11.2189
Pt 4.1067 0.9369 2.2429
Pt 4.3791 0.9369 15.2093
Pt 5.7688 2.8108 7.1164
Pt 6.0413 2.8108 10.3358
Pt 6.1719 2.8108 3.1261
Pt 6.6879 2.8108 15.1271
```



# K2Li2PbF7
Simulated powder X-ray diffraction pattern, λ = 1.5418 Å (Cu Kα). Input: a crystal structure in Alexandria, relaxed with PBE.

Main lines, low angle first (2θ from 10° to 80°):
d 5.320, intensity 46.8; d 3.814, intensity 100.0; d 3.547, intensity 28.9; d 3.402, intensity 43.2; d 2.866, intensity 70.6; d 2.741, intensity 45.2; d 2.437, intensity 51.9; d 2.392, intensity 27.0; d 2.169, intensity 85.9; d 1.938, intensity 38.4

Structure:
```
12
Lattice="-1.9382 1.9382 10.6396 1.9382 -1.9382 10.6396 1.9382 1.9382 -10.6396" Properties=species:S:1:pos:R:3 pbc="T T T"
K 0.0000 0.0000 3.9503
K 0.0000 0.0000 17.3290
Li 0.0000 0.0000 8.5704
Li 0.0000 0.0000 12.7089
Pb 0.0000 0.0000 0.0000
F 1.9382 0.0000 1.6869
F 0.0000 0.0000 6.6204
F 1.9382 0.0000 8.9527
F 0.0000 0.0000 10.6396
F 0.0000 1.9382 1.6869
F 0.0000 0.0000 14.6588
F 0.0000 1.9382 8.9527
```



# ThNp4Ga15
Simulated powder X-ray diffraction pattern, λ = 1.5418 Å (Cu Kα). Input: a crystal structure in Alexandria, relaxed with PBE.

Main lines, low angle first (2θ from 10° to 80°):
d 4.301, intensity 36.0; d 3.041, intensity 30.8; d 2.483, intensity 100.0; d 2.155, intensity 16.0; d 2.148, intensity 33.3; d 1.924, intensity 11.7; d 1.756, intensity 13.6; d 1.521, intensity 21.2; d 1.299, intensity 11.7; d 1.296, intensity 25.6

Structure:
```
20
Lattice="4.2960 0.0000 0.0000 0.0000 4.2960 0.0000 0.0000 0.0000 21.5501" Properties=species:S:1:pos:R:3 pbc="T T T"
Th 0.0000 0.0000 0.0000
Np 0.0000 0.0000 4.3983
Np 0.0000 0.0000 8.6525
Np 0.0000 0.0000 12.8977
Np 0.0000 0.0000 17.1518
Ga 0.0000 2.1480 2.3014
Ga 0.0000 2.1480 6.5311
Ga 0.0000 2.1480 10.7751
Ga 0.0000 2.1480 15.0190
Ga 0.0000 2.1480 19.2487
Ga 2.1480 0.0000 2.3014
Ga 2.1480 0.0000 6.5311
Ga 2.1480 0.0000 10.7751
Ga 2.1480 0.0000 15.0190
Ga 2.1480 0.0000 19.2487
Ga 2.1480 2.1480 0.0000
Ga 2.1480 2.1480 4.3891
Ga 2.1480 2.1480 8.6485
Ga 2.1480 2.1480 12.9016
Ga 2.1480 2.1480 17.1610
```



# Pm4Nd3Sm
Simulated powder X-ray diffraction pattern, λ = 1.5418 Å (Cu Kα). Input: a crystal structure in Alexandria, relaxed with PBE.

Main lines, low angle first (2θ from 10° to 80°):
d 2.988, intensity 100.0; d 2.587, intensity 50.7; d 1.829, intensity 36.3; d 1.560, intensity 43.3; d 1.494, intensity 12.5; d 1.294, intensity 5.8

Structure:
```
16
Lattice="10.3437 0.0000 0.0000 0.0000 7.3204 0.0000 0.0000 0.0000 7.3194" Properties=species:S:1:pos:R:3 pbc="T T T"
Pm 0.0000 0.0000 0.0000
Pm 0.0000 3.6602 3.6597
Pm 2.5859 1.8246 1.8299
Pm 2.5859 5.4958 5.4896
Pm 5.1718 0.0000 3.6597
Pm 5.1718 3.6602 0.0000
Pm 7.7578 1.8246 1.8299
Pm 7.7578 5.4958 5.4896
Nd 0.0000 3.6602 0.0000
Nd 2.5859 1.8250 5.4896
Nd 2.5859 5.4954 1.8299
Nd 5.1718 3.6602 3.6597
Nd 7.7578 1.8250 5.4896
Nd 7.7578 5.4954 1.8299
Sm 0.0000 0.0000 3.6597
Sm 5.1718 0.0000 0.0000
```



# CeNd2Sb3
Simulated powder X-ray diffraction pattern, λ = 1.5418 Å (Cu Kα). Input: a crystal structure in Alexandria, relaxed with PBE.

Main lines, low angle first (2θ from 10° to 80°):
d 3.686, intensity 1.3; d 3.193, intensity 100.0; d 2.258, intensity 63.8; d 2.255, intensity 12.7; d 1.843, intensity 27.4; d 1.596, intensity 12.9; d 1.430, intensity 5.9; d 1.427, intensity 29.4; d 1.304, intensity 13.0; d 1.302, intensity 13.0

Structure:
```
6
Lattice="-2.2552 3.1905 6.7835 2.2552 -3.1905 6.7835 2.2552 3.1905 -6.7835" Properties=species:S:1:pos:R:3 pbc="T T T"
Ce 0.0000 0.0000 0.0000
Nd 0.0000 0.0000 4.5167
Nd 0.0000 0.0000 9.0504
Sb 2.2552 0.0000 2.2314
Sb 0.0000 3.1905 0.0000
Sb 0.0000 3.1905 4.5521
```



# Ca3GaPt2
Simulated powder X-ray diffraction pattern, λ = 1.5418 Å (Cu Kα). Input: a crystal structure in Alexandria, relaxed with PBE.

Main lines, low angle first (2θ from 10° to 80°):
d 4.210, intensity 100.0; d 3.809, intensity 77.5; d 3.761, intensity 57.4; d 2.908, intensity 41.8; d 2.823, intensity 50.2; d 2.588, intensity 50.5; d 2.236, intensity 75.6; d 2.102, intensity 49.4; d 2.056, intensity 41.0; d 1.453, intensity 39.2

Structure:
```
24
Lattice="11.7421 0.0000 0.0000 0.0000 4.2034 0.0000 0.0000 0.0000 12.0810" Properties=species:S:1:pos:R:3 pbc="T T T"
Ca 0.6463 1.0508 1.4185
Ca 1.5129 3.1525 6.8032
Ca 2.2552 1.0508 9.8074
Ca 3.6159 3.1525 3.7669
Ca 4.3581 1.0508 0.7627
Ca 5.2247 3.1525 7.4590
Ca 6.5174 1.0508 4.6220
Ca 7.3840 3.1525 11.3184
Ca 8.1263 1.0508 8.3141
Ca 9.4869 3.1525 2.2736
Ca 10.2292 1.0508 5.2779
Ca 11.0958 3.1525 10.6625
Ga 1.5051 1.0508 4.4452
Ga 4.3660 3.1525 10.4857
Ga 7.3762 1.0508 1.5953
Ga 10.2370 3.1525 7.6358
Pt 0.3206 3.1525 3.8263
Pt 2.2630 3.1525 11.9188
Pt 3.6081 1.0508 5.8782
Pt 5.5505 1.0508 9.8668
Pt 6.1917 3.1525 2.2142
Pt 8.1341 3.1525 6.2028
Pt 9.4791 1.0508 0.1623
Pt 11.4215 1.0508 8.2547
```



# AcMg2BiPb
Simulated powder X-ray diffraction pattern, λ = 1.5418 Å (Cu Kα). Input: a crystal structure in Alexandria, relaxed with PBE.

Main lines, low angle first (2θ from 10° to 80°):
d 3.955, intensity 36.9; d 3.937, intensity 31.9; d 3.617, intensity 25.3; d 3.221, intensity 98.2; d 3.164, intensity 100.0; d 2.285, intensity 63.9; d 2.278, intensity 70.8; d 1.615, intensity 29.4; d 1.610, intensity 40.2; d 1.441, intensity 23.6

Structure:
```
10
Lattice="2.2786 -7.8746 0.0000 2.2786 7.8746 0.0000 0.0000 0.0000 9.1539" Properties=species:S:1:pos:R:3 pbc="T T T"
Ac 2.2786 6.8203 6.8654
Ac 2.2786 -6.8203 2.2885
Mg 2.2786 2.7467 5.1752
Mg 2.2786 2.7467 8.5556
Mg 2.2786 -2.7467 0.5983
Mg 2.2786 -2.7467 3.9787
Bi 2.2786 3.9903 2.2885
Bi 2.2786 -3.9903 6.8654
Pb 2.2786 0.0000 0.0000
Pb 2.2786 0.0000 4.5770
```